No. 1
PmHo8Sc4: computed X-ray powder pattern (Cu Kα X-rays), based on a PBE-relaxed structure.
Neutral-atom scattering factors, no anomalous dispersion.

Structure:
Unit cell a=9.716 b=9.716 c=9.716 alpha=42.75 beta=42.75 gamma=42.75
Sites, in units of the cell vectors:
Pm: 0.000 0.000 0.000
Ho: 0.252 0.252 0.703
Ho: 0.252 0.703 0.252
Ho: 0.281 0.281 0.281
Ho: 0.297 0.748 0.748
Ho: 0.703 0.252 0.252
Ho: 0.719 0.719 0.719
Ho: 0.748 0.297 0.748
Ho: 0.748 0.748 0.297
Sc: 0.000 0.000 0.500
Sc: 0.000 0.500 0.000
Sc: 0.500 0.000 0.000
Sc: 0.500 0.500 0.500

Peak list (6 most intense, 2θ from 10° to 90°, most intense first)
two_theta  d/Å  I/Imax
32.17  2.782  100.0
29.91  2.988  46.8
10.04  8.814  36.4
51.61  1.771  29.1
40.11  2.248  28.5
37.78  2.381  22.1


No. 2
Sm2AlAg3: computed X-ray powder pattern (Cu Kα X-rays), based on a PBE-relaxed structure.
Neutral-atom scattering factors, no anomalous dispersion.

Structure:
Unit cell a=5.821 b=5.821 c=7.220 alpha=126.41 beta=126.41 gamma=47.57
Sites, in units of the cell vectors:
Sm: 0.000 0.000 0.000
Sm: 0.081 0.081 0.586
Al: 0.713 0.713 0.409
Ag: 0.365 0.365 0.572
Ag: 0.391 0.391 0.181
Ag: 0.702 0.702 0.006

Peak list (6 most intense, 2θ from 10° to 90°, most intense first)
two_theta  d/Å  I/Imax
38.39  2.345  100.0
33.53  2.672  70.8
32.89  2.724  43.2
31.35  2.854  32.3
32.59  2.748  28.7
51.17  1.785  18.2


No. 3
Cs3HgCl5: computed X-ray powder pattern (Cu Kα X-rays), based on a PBE-relaxed structure.
Neutral-atom scattering factors, no anomalous dispersion.

Structure:
Unit cell a=10.286 b=10.286 c=10.286 alpha=125.60 beta=125.60 gamma=80.55
Sites, in units of the cell vectors:
Cs: 0.163 0.663 0.827
Cs: 0.250 0.250 0.000
Cs: 0.337 0.163 0.500
Cs: 0.663 0.837 0.500
Cs: 0.750 0.750 0.000
Cs: 0.837 0.337 0.173
Hg: 0.250 0.750 0.500
Hg: 0.750 0.250 0.500
Cl: 0.000 0.000 0.000
Cl: 0.001 0.798 0.500
Cl: 0.202 0.702 0.203
Cl: 0.298 0.501 0.500
Cl: 0.499 0.999 0.797
Cl: 0.500 0.500 0.000
Cl: 0.501 0.001 0.203
Cl: 0.702 0.499 0.500
Cl: 0.798 0.298 0.797
Cl: 0.999 0.202 0.500

Peak list (6 most intense, 2θ from 10° to 90°, most intense first)
two_theta  d/Å  I/Imax
22.04  4.033  100.0
27.21  3.278  70.6
22.66  3.924  37.3
26.82  3.325  37.1
35.39  2.537  32.1
39.42  2.286  28.2